Record 1
The following is a calculated powder diffractogram of AcPm4Ho2. It was derived from a DFT-relaxed cell (GGA-PBE, Alexandria), using Cu Kα X-rays.
No peak broadening, texture or thermal motion is included.

Principal peaks in the range 10° ≤ 2θ ≤ 80°, low angle first:
25.41 deg, rel. 16; 27.55 deg, rel. 15; 29.41 deg, rel. 11; 29.68 deg, rel. 100; 30.45 deg, rel. 42; 33.22 deg, rel. 36; 34.70 deg, rel. 13; 53.64 deg, rel. 19

Cell and atoms:
Unit cell a=9.145 b=9.145 c=9.145 alpha=134.93 beta=100.12 gamma=96.78
Element x y z (fractional)
Ac (0.000, 0.000, 0.000)
Ac (0.500, 0.000, 0.500)
Pm (0.154, 0.646, 0.508)
Pm (0.239, 0.273, 0.535)
Pm (0.239, 0.704, 0.965)
Pm (0.362, 0.354, 0.008)
Pm (0.638, 0.646, 0.992)
Pm (0.761, 0.296, 0.035)
Pm (0.761, 0.727, 0.465)
Pm (0.846, 0.354, 0.492)
Ho (0.027, 0.777, 0.250)
Ho (0.500, 0.000, 0.000)
Ho (0.500, 0.500, 0.500)
Ho (0.973, 0.223, 0.750)

Record 2
The following is a calculated powder diffractogram of RbAc2Au. It was derived from a DFT-relaxed cell (GGA-PBE, Alexandria), using Cu Kα X-rays.
No peak broadening, texture or thermal motion is included.

Principal peaks in the range 10° ≤ 2θ ≤ 80°, low angle first:
24.17 deg, rel. 43; 26.54 deg, rel. 75; 30.50 deg, rel. 100; 33.78 deg, rel. 45; 39.39 deg, rel. 33; 41.65 deg, rel. 49; 42.31 deg, rel. 24; 61.75 deg, rel. 26

Cell and atoms:
Unit cell a=4.337 b=4.337 c=37.496 alpha=90.00 beta=90.00 gamma=120.00
Element x y z (fractional)
Rb (0.000, 0.000, 0.000)
Rb (0.333, 0.667, 0.667)
Rb (0.667, 0.333, 0.333)
Ac (0.000, 0.000, 0.116)
Ac (0.000, 0.000, 0.884)
Ac (0.333, 0.667, 0.551)
Ac (0.333, 0.667, 0.783)
Ac (0.667, 0.333, 0.217)
Ac (0.667, 0.333, 0.449)
Au (0.000, 0.000, 0.500)
Au (0.333, 0.667, 0.167)
Au (0.667, 0.333, 0.833)

Record 3
The following is a calculated powder diffractogram of Li3W5. It was derived from a DFT-relaxed cell (GGA-PBE, Alexandria), using Cu Kα X-rays.
No peak broadening, texture or thermal motion is included.

Principal peaks in the range 10° ≤ 2θ ≤ 80°, low angle first:
14.01 deg, rel. 36; 19.12 deg, rel. 55; 35.70 deg, rel. 24; 38.81 deg, rel. 27; 40.81 deg, rel. 100; 41.83 deg, rel. 24; 71.62 deg, rel. 17; 75.67 deg, rel. 27

Cell and atoms:
Unit cell a=8.638 b=9.282 c=3.093 alpha=90.00 beta=90.00 gamma=90.00
Element x y z (fractional)
Li (0.000, 0.000, 0.000)
Li (0.234, 0.000, 0.500)
Li (0.266, 0.500, 0.500)
Li (0.500, 0.500, 0.000)
Li (0.734, 0.500, 0.500)
Li (0.766, 0.000, 0.500)
W (0.000, 0.266, 0.500)
W (0.000, 0.500, 0.000)
W (0.000, 0.734, 0.500)
W (0.250, 0.250, 0.000)
W (0.250, 0.750, 0.000)
W (0.500, 0.000, 0.000)
W (0.500, 0.234, 0.500)
W (0.500, 0.766, 0.500)
W (0.750, 0.250, 0.000)
W (0.750, 0.750, 0.000)

Record 4
The following is a calculated powder diffractogram of Sm3DyTm6. It was derived from a DFT-relaxed cell (GGA-PBE, Alexandria), using Cu Kα X-rays.
No peak broadening, texture or thermal motion is included.

Principal peaks in the range 10° ≤ 2θ ≤ 80°, low angle first:
29.40 deg, rel. 100; 30.82 deg, rel. 38; 31.79 deg, rel. 30; 32.01 deg, rel. 45; 32.69 deg, rel. 29; 34.24 deg, rel. 37; 34.58 deg, rel. 41; 34.68 deg, rel. 36

Cell and atoms:
Unit cell a=6.469 b=6.478 c=9.440 alpha=89.96 beta=70.33 gamma=60.32
Element x y z (fractional)
Sm (0.000, 0.000, 0.000)
Sm (0.301, 0.558, 0.691)
Sm (0.699, 0.442, 0.309)
Dy (0.000, 0.500, 0.500)
Tm (0.126, 0.868, 0.313)
Tm (0.304, 0.349, 0.051)
Tm (0.448, 0.991, 0.687)
Tm (0.552, 0.009, 0.313)
Tm (0.696, 0.651, 0.949)
Tm (0.874, 0.132, 0.687)

Record 5
The following is a calculated powder diffractogram of MgSi2. It was derived from a DFT-relaxed cell (GGA-PBE, Alexandria), using Cu Kα X-rays.
No peak broadening, texture or thermal motion is included.

Principal peaks in the range 10° ≤ 2θ ≤ 80°, low angle first:
35.68 deg, rel. 37; 39.78 deg, rel. 38; 39.91 deg, rel. 53; 40.01 deg, rel. 100; 41.09 deg, rel. 54; 45.91 deg, rel. 26; 52.21 deg, rel. 23; 72.53 deg, rel. 20

Cell and atoms:
Unit cell a=7.799 b=9.036 c=2.782 alpha=90.00 beta=90.00 gamma=90.00
Element x y z (fractional)
Mg (0.105, 0.147, 0.000)
Mg (0.395, 0.647, 0.000)
Mg (0.605, 0.353, 0.000)
Mg (0.895, 0.853, 0.000)
Si (0.070, 0.621, 0.500)
Si (0.226, 0.887, 0.500)
Si (0.274, 0.387, 0.500)
Si (0.430, 0.121, 0.500)
Si (0.570, 0.879, 0.500)
Si (0.726, 0.613, 0.500)
Si (0.774, 0.113, 0.500)
Si (0.930, 0.379, 0.500)

Record 6
The following is a calculated powder diffractogram of Tb2Sm. It was derived from a DFT-relaxed cell (GGA-PBE, Alexandria), using Cu Kα X-rays.
No peak broadening, texture or thermal motion is included.

Principal peaks in the range 10° ≤ 2θ ≤ 80°, low angle first:
30.56 deg, rel. 100; 35.44 deg, rel. 51; 50.99 deg, rel. 36; 60.62 deg, rel. 43; 63.62 deg, rel. 12; 74.88 deg, rel. 2; 75.04 deg, rel. 4

Cell and atoms:
Unit cell a=3.580 b=3.580 c=15.218 alpha=90.00 beta=90.00 gamma=90.00
Element x y z (fractional)
Tb (0.000, 0.000, 0.168)
Tb (0.000, 0.000, 0.832)
Tb (0.500, 0.500, 0.332)
Tb (0.500, 0.500, 0.668)
Sm (0.000, 0.000, 0.500)
Sm (0.500, 0.500, 0.000)

Record 7
The following is a calculated powder diffractogram of NaCd3Ge3. It was derived from a DFT-relaxed cell (GGA-PBE, Alexandria), using Cu Kα X-rays.
No peak broadening, texture or thermal motion is included.

Principal peaks in the range 10° ≤ 2θ ≤ 80°, low angle first:
16.61 deg, rel. 100; 23.57 deg, rel. 37; 28.97 deg, rel. 88; 37.68 deg, rel. 26; 41.43 deg, rel. 71; 44.93 deg, rel. 52; 48.22 deg, rel. 40; 70.57 deg, rel. 25

Cell and atoms:
Unit cell a=7.549 b=7.549 c=7.549 alpha=90.00 beta=90.00 gamma=90.00
Element x y z (fractional)
Na (0.000, 0.000, 0.000)
Na (0.500, 0.500, 0.500)
Cd (0.000, 0.250, 0.500)
Cd (0.000, 0.750, 0.500)
Cd (0.250, 0.500, 0.000)
Cd (0.500, 0.000, 0.250)
Cd (0.500, 0.000, 0.750)
Cd (0.750, 0.500, 0.000)
Ge (0.000, 0.500, 0.250)
Ge (0.000, 0.500, 0.750)
Ge (0.250, 0.000, 0.500)
Ge (0.500, 0.250, 0.000)
Ge (0.500, 0.750, 0.000)
Ge (0.750, 0.000, 0.500)

Record 8
The following is a calculated powder diffractogram of Tb7Er16Tm6. It was derived from a DFT-relaxed cell (GGA-PBE, Alexandria), using Cu Kα X-rays.
No peak broadening, texture or thermal motion is included.

Principal peaks in the range 10° ≤ 2θ ≤ 80°, low angle first:
29.86 deg, rel. 13; 32.58 deg, rel. 100; 44.77 deg, rel. 7; 46.74 deg, rel. 14; 58.13 deg, rel. 26; 61.72 deg, rel. 7; 68.25 deg, rel. 7; 77.69 deg, rel. 7

Cell and atoms:
Unit cell a=10.994 b=10.994 c=10.994 alpha=60.00 beta=60.00 gamma=60.00
Element x y z (fractional)
Tb (0.000, 0.000, 0.000)
Tb (0.000, 0.000, 0.500)
Tb (0.000, 0.500, 0.000)
Tb (0.000, 0.500, 0.500)
Tb (0.500, 0.000, 0.000)
Tb (0.500, 0.000, 0.500)
Tb (0.500, 0.500, 0.000)
Er (0.048, 0.651, 0.651)
Er (0.124, 0.124, 0.124)
Er (0.124, 0.124, 0.627)
Er (0.124, 0.627, 0.124)
Er (0.349, 0.349, 0.349)
Er (0.349, 0.349, 0.952)
Er (0.349, 0.952, 0.349)
Er (0.373, 0.876, 0.876)
Er (0.627, 0.124, 0.124)
Er (0.651, 0.048, 0.651)
Er (0.651, 0.651, 0.048)
Er (0.651, 0.651, 0.651)
Er (0.876, 0.373, 0.876)
Er (0.876, 0.876, 0.373)
Er (0.876, 0.876, 0.876)
Er (0.952, 0.349, 0.349)
Tm (0.271, 0.271, 0.729)
Tm (0.271, 0.729, 0.271)
Tm (0.271, 0.729, 0.729)
Tm (0.729, 0.271, 0.271)
Tm (0.729, 0.271, 0.729)
Tm (0.729, 0.729, 0.271)

Record 9
The following is a calculated powder diffractogram of Cs3Br6Cl. It was derived from a DFT-relaxed cell (GGA-PBE, Alexandria), using Cu Kα X-rays.
No peak broadening, texture or thermal motion is included.

Principal peaks in the range 10° ≤ 2θ ≤ 80°, low angle first:
19.60 deg, rel. 48; 21.76 deg, rel. 21; 24.38 deg, rel. 74; 24.98 deg, rel. 100; 30.97 deg, rel. 69; 39.80 deg, rel. 67; 44.37 deg, rel. 21; 51.27 deg, rel. 26

Cell and atoms:
Unit cell a=9.310 b=9.310 c=9.310 alpha=127.97 beta=127.97 gamma=76.67
Element x y z (fractional)
Cs (0.000, 0.000, 0.000)
Cs (0.250, 0.750, 0.500)
Cs (0.750, 0.250, 0.500)
Br (0.236, 0.236, 0.000)
Br (0.288, 0.288, 0.576)
Br (0.288, 0.712, 0.000)
Br (0.712, 0.288, 0.000)
Br (0.712, 0.712, 0.424)
Br (0.764, 0.764, 0.000)
Cl (0.500, 0.500, 0.000)

Record 10
The following is a calculated powder diffractogram of K4Ce6Br19. It was derived from a DFT-relaxed cell (GGA-PBE, Alexandria), using Cu Kα X-rays.
No peak broadening, texture or thermal motion is included.

Principal peaks in the range 10° ≤ 2θ ≤ 80°, low angle first:
13.19 deg, rel. 65; 20.92 deg, rel. 76; 24.81 deg, rel. 42; 28.20 deg, rel. 85; 34.05 deg, rel. 100; 39.12 deg, rel. 36; 40.30 deg, rel. 74; 59.20 deg, rel. 29

Cell and atoms:
Unit cell a=11.628 b=11.628 c=11.628 alpha=109.47 beta=109.47 gamma=109.47
Element x y z (fractional)
K (0.000, 0.000, 0.276)
K (0.000, 0.276, 0.000)
K (0.276, 0.000, 0.000)
K (0.724, 0.724, 0.724)
Ce (0.152, 0.500, 0.652)
Ce (0.348, 0.848, 0.500)
Ce (0.500, 0.348, 0.848)
Ce (0.500, 0.652, 0.152)
Ce (0.652, 0.152, 0.500)
Ce (0.848, 0.500, 0.348)
Br (0.000, 0.000, 0.000)
Br (0.000, 0.339, 0.339)
Br (0.000, 0.661, 0.661)
Br (0.039, 0.754, 0.358)
Br (0.246, 0.284, 0.604)
Br (0.284, 0.604, 0.246)
Br (0.320, 0.716, 0.961)
Br (0.339, 0.000, 0.339)
Br (0.339, 0.339, 0.000)
Br (0.358, 0.039, 0.754)
Br (0.396, 0.680, 0.642)
Br (0.604, 0.246, 0.284)
Br (0.642, 0.396, 0.680)
Br (0.661, 0.000, 0.661)
Br (0.661, 0.661, 0.000)
Br (0.680, 0.642, 0.396)
Br (0.716, 0.961, 0.320)
Br (0.754, 0.358, 0.039)
Br (0.961, 0.320, 0.716)

Record 11
The following is a calculated powder diffractogram of SnH4Br3N. It was derived from a DFT-relaxed cell (GGA-PBE, Alexandria), using Cu Kα X-rays.
No peak broadening, texture or thermal motion is included.

Principal peaks in the range 10° ≤ 2θ ≤ 80°, low angle first:
12.74 deg, rel. 60; 13.38 deg, rel. 100; 26.15 deg, rel. 14; 28.03 deg, rel. 15; 28.44 deg, rel. 17; 32.78 deg, rel. 25; 35.30 deg, rel. 14; 38.92 deg, rel. 14

Cell and atoms:
Unit cell a=7.879 b=7.938 c=13.306 alpha=89.62 beta=86.65 gamma=89.10
Element x y z (fractional)
Sn (0.000, 0.000, 0.000)
Sn (0.005, 0.509, 0.007)
Sn (0.461, 0.162, 0.506)
Sn (0.478, 0.663, 0.502)
H (0.005, 0.591, 0.685)
H (0.024, 0.385, 0.717)
H (0.040, 0.446, 0.594)
H (0.104, 0.963, 0.354)
H (0.369, 0.338, 0.185)
H (0.385, 0.016, 0.809)
H (0.447, 0.829, 0.857)
H (0.486, 0.508, 0.154)
H (0.552, 0.907, 0.752)
H (0.553, 0.374, 0.245)
H (0.560, 0.315, 0.122)
H (0.572, 0.999, 0.865)
H (0.847, 0.458, 0.661)
H (0.918, 0.925, 0.424)
H (0.927, 0.086, 0.342)
H (0.933, 0.886, 0.297)
Br (0.087, 0.264, 0.163)
Br (0.159, 0.225, 0.846)
Br (0.210, 0.419, 0.443)
Br (0.234, 0.838, 0.614)
Br (0.307, 0.682, 0.014)
Br (0.404, 0.959, 0.338)
Br (0.545, 0.452, 0.668)
Br (0.699, 0.185, 0.981)
Br (0.711, 0.328, 0.388)
Br (0.728, 0.909, 0.576)
Br (0.838, 0.735, 0.152)
Br (0.895, 0.768, 0.852)
N (0.489, 0.937, 0.820)
N (0.492, 0.384, 0.177)
N (0.971, 0.964, 0.354)
N (0.978, 0.469, 0.664)

Record 12
The following is a calculated powder diffractogram of Nd2PI2. It was derived from a DFT-relaxed cell (GGA-PBE, Alexandria), using Cu Kα X-rays.
No peak broadening, texture or thermal motion is included.

Principal peaks in the range 10° ≤ 2θ ≤ 80°, low angle first:
15.20 deg, rel. 23; 24.74 deg, rel. 30; 27.40 deg, rel. 100; 30.18 deg, rel. 56; 31.80 deg, rel. 74; 41.60 deg, rel. 52; 42.58 deg, rel. 57; 51.38 deg, rel. 17

Cell and atoms:
Unit cell a=4.247 b=4.247 c=34.964 alpha=90.00 beta=90.00 gamma=120.00
Element x y z (fractional)
Nd (0.000, 0.000, 0.122)
Nd (0.000, 0.000, 0.878)
Nd (0.333, 0.667, 0.545)
Nd (0.333, 0.667, 0.789)
Nd (0.667, 0.333, 0.211)
Nd (0.667, 0.333, 0.455)
P (0.000, 0.000, 0.500)
P (0.333, 0.667, 0.167)
P (0.667, 0.333, 0.833)
I (0.000, 0.000, 0.272)
I (0.000, 0.000, 0.728)
I (0.333, 0.667, 0.395)
I (0.333, 0.667, 0.938)
I (0.667, 0.333, 0.062)
I (0.667, 0.333, 0.605)